# MgNiP2O7
Computed powder X-ray diffraction pattern, Cu Kα. Input: the GGA+U geometry in Alexandria.

Top 12 peaks for 10 to 90 degrees two-theta, by angle:
hkl 0 1 1, 2θ 15.0, I = 15
hkl 1 1 -1, 2θ 17.2, I = 20
hkl 1 2 -1, 2θ 25.3, I = 11
hkl 1 2 -2, 2θ 29.4, I = 100
hkl 1 0 2, 2θ 29.9, I = 54
hkl 1 1 -3, 2θ 31.3, I = 9
hkl 1 3 0, 2θ 35.0, I = 10
hkl 2 2 0, 2θ 35.2, I = 13
hkl 1 1 3, 2θ 41.7, I = 10
hkl 2 3 -2, 2θ 42.6, I = 20
hkl 3 3 -4, 2θ 58.0, I = 15
hkl 2 3 -6, 2θ 70.5, I = 10

Structural model:
abc: 7.0135 8.3845 9.1188
angles: 90.00 113.75 90.00
Fractional coordinates of all 44 atoms:
Mg (0.1944, 0.0566, 0.3204)
Mg (0.1944, 0.4434, 0.8204)
Mg (0.8056, 0.5566, 0.1796)
Mg (0.8056, 0.9434, 0.6796)
Ni (0.2711, 0.0768, 0.8908)
Ni (0.2711, 0.4232, 0.3908)
Ni (0.7289, 0.5768, 0.6092)
Ni (0.7289, 0.9232, 0.1092)
P (0.0271, 0.7264, 0.9655)
P (0.0271, 0.7736, 0.4655)
P (0.4384, 0.7292, 0.2566)
P (0.4384, 0.7708, 0.7566)
P (0.5616, 0.2292, 0.2434)
P (0.5616, 0.2708, 0.7434)
P (0.9729, 0.2264, 0.5345)
P (0.9729, 0.2736, 0.0345)
O (0.0222, 0.0915, 0.6584)
O (0.0222, 0.4085, 0.1584)
O (0.0499, 0.6106, 0.3976)
O (0.0499, 0.8894, 0.8976)
O (0.1271, 0.2327, 0.4528)
O (0.1271, 0.2673, 0.9528)
O (0.2465, 0.6682, 0.0971)
O (0.2465, 0.8318, 0.5971)
O (0.3814, 0.2361, 0.2988)
O (0.3814, 0.2639, 0.7988)
O (0.3839, 0.6141, 0.8106)
O (0.3839, 0.8859, 0.3106)
O (0.4751, 0.5929, 0.3789)
O (0.4751, 0.9071, 0.8789)
O (0.5249, 0.0929, 0.1211)
O (0.5249, 0.4071, 0.6211)
O (0.6161, 0.1141, 0.6894)
O (0.6161, 0.3859, 0.1894)
O (0.6186, 0.7361, 0.2012)
O (0.6186, 0.7639, 0.7012)
O (0.7535, 0.1682, 0.4029)
O (0.7535, 0.3318, 0.9029)
O (0.8729, 0.7327, 0.0472)
O (0.8729, 0.7673, 0.5472)
O (0.9501, 0.1106, 0.1024)
O (0.9501, 0.3894, 0.6024)
O (0.9778, 0.5915, 0.8416)
O (0.9778, 0.9085, 0.3416)